Calculated powder diffractogram of CdBi2Cl8 for a wavelength of 1.5418 Å, from a structure optimized by DFT (PBE).
Lines closer than 0.1° are merged.

Cell and atoms:
abc: 9.633 9.633 9.584
angles: 90.94 90.94 22.73
Positions (direct):
Cd (0.000, 0.000, 0.000)
Bi (0.344, 0.344, 0.730)
Bi (0.656, 0.656, 0.270)
Cl (0.098, 0.098, 0.440)
Cl (0.143, 0.143, 0.044)
Cl (0.263, 0.263, 0.310)
Cl (0.500, 0.500, 0.190)
Cl (0.500, 0.500, 0.810)
Cl (0.737, 0.737, 0.690)
Cl (0.857, 0.857, 0.956)
Cl (0.902, 0.902, 0.560)

Largest 12 diffraction maxima, low angle first, 10° ≤ 2θ ≤ 90°:
- d 6.783, rel. 100.0
- d 6.670, rel. 20.3
- d 4.246, rel. 16.0
- d 4.208, rel. 16.7
- d 3.467, rel. 17.9
- d 3.251, rel. 15.8
- d 3.148, rel. 12.2
- d 2.940, rel. 39.9
- d 2.587, rel. 22.5
- d 2.288, rel. 12.5
- d 2.009, rel. 12.5
- d 1.884, rel. 10.9